1.
Starting from a PBE-relaxed structure, the powder diffractogram of Na2PrO3 was calculated for Cu Kα.
Lines closer than 0.1° are merged.

Largest 10 diffraction maxima, low angle first, 2θ from 10° to 80°:
- 2θ 18.46, d 4.806, I 24
- 2θ 18.57, d 4.777, I 100
- 2θ 26.32, d 3.387, I 61
- 2θ 32.40, d 2.764, I 38
- 2θ 37.43, d 2.403, I 19
- 2θ 37.66, d 2.389, I 37
- 2θ 42.09, d 2.147, I 24
- 2θ 42.29, d 2.137, I 35
- 2θ 46.52, d 1.952, I 23
- 2θ 54.14, d 1.694, I 24

Structure:
Cell: 4.7774 4.7774 4.8056 Å, 90.00 90.00 90.00°
Space group P4/mmm (No. 123)
Symmetry-distinct sites (fractional):
1 Na 0.0000 0.5000 0.0000 [2 per cell]
2 Pr 0.0000 0.0000 0.5000 [1 per cell]
3 O 0.0000 0.0000 0.0000 [1 per cell]
4 O 0.0000 0.5000 0.5000 [2 per cell]


2.
Starting from a PBE-relaxed structure, the powder diffractogram of Na2PrO3 was calculated for Cu Kα.
Lines closer than 0.1° are merged.

Largest 10 diffraction maxima, low angle first, 2θ from 10° to 80°:
- 2θ 16.85, d 5.262, I 78
- 2θ 20.42, d 4.348, I 100
- 2θ 26.15, d 3.407, I 49
- 2θ 31.11, d 2.875, I 46
- 2θ 31.65, d 2.827, I 45
- 2θ 35.58, d 2.523, I 39
- 2θ 35.73, d 2.513, I 94
- 2θ 37.68, d 2.387, I 41
- 2θ 46.81, d 1.941, I 27
- 2θ 52.90, d 1.731, I 56

Structure:
Cell: 3.6011 4.7750 10.5236 Å, 90.00 90.00 90.00°
Space group Immm (No. 71)
Symmetry-distinct sites (fractional):
1 Na 0.0000 0.0000 0.1713 [4 per cell]
2 Pr 0.0000 0.0000 0.5000 [2 per cell]
3 O 0.0000 0.5000 0.1503 [4 per cell]
4 O 0.0000 0.5000 0.5000 [2 per cell]


3.
Starting from a PBE-relaxed structure, the powder diffractogram of Na2PrO3 was calculated for Cu Kα.
Lines closer than 0.1° are merged.

Largest 10 diffraction maxima, low angle first, 2θ from 10° to 80°:
- 2θ 16.02, d 5.532, I 100
- 2θ 19.64, d 4.519, I 23
- 2θ 25.87, d 3.444, I 32
- 2θ 30.68, d 2.914, I 36
- 2θ 31.26, d 2.862, I 35
- 2θ 35.76, d 2.511, I 34
- 2θ 35.90, d 2.502, I 34
- 2θ 36.09, d 2.489, I 34
- 2θ 51.71, d 1.768, I 22
- 2θ 51.82, d 1.764, I 22

Structure:
Cell: 6.9946 9.9552 11.3223 Å, 90.00 107.77 90.00°
Space group C2/c (No. 15)
Symmetry-distinct sites (fractional):
1 Na 0.0756 0.1193 0.4046 [8 per cell]
2 Na 0.2495 0.1257 0.7412 [8 per cell]
3 Pr 0.0798 0.3735 0.9140 [8 per cell]
4 O 0.0885 0.3921 0.4285 [8 per cell]
5 O 0.0932 0.1399 0.9295 [8 per cell]
6 O 0.2291 0.3750 0.7503 [8 per cell]


4.
Starting from a PBE-relaxed structure, the powder diffractogram of NaPrYSbO6 was calculated for Cu Kα.
Lines closer than 0.1° are merged.

Largest 10 diffraction maxima, low angle first, 2θ from 10° to 80°:
- 2θ 18.48, d 4.801, I 29
- 2θ 21.37, d 4.157, I 7
- 2θ 30.41, d 2.940, I 100
- 2θ 35.82, d 2.507, I 16
- 2θ 43.54, d 2.079, I 34
- 2θ 47.67, d 1.908, I 7
- 2θ 54.03, d 1.697, I 40
- 2θ 63.27, d 1.470, I 21
- 2θ 71.80, d 1.315, I 17
- 2θ 79.94, d 1.200, I 7

Structure:
Cell: 8.3149 8.3149 8.3149 Å, 90.00 90.00 90.00°
Space group F-43m (No. 216)
Symmetry-distinct sites (fractional):
1 Na 0.0000 0.0000 0.0000 [4 per cell]
2 Pr 0.0000 0.0000 0.5000 [4 per cell]
3 Y 0.2500 0.2500 0.7500 [4 per cell]
4 Sb 0.2500 0.2500 0.2500 [4 per cell]
5 O 0.0125 0.2500 0.2500 [24 per cell]


5.
Starting from a PBE-relaxed structure, the powder diffractogram of NaPrSe2O10 was calculated for Cu Kα.
Lines closer than 0.1° are merged.

Largest 10 diffraction maxima, low angle first, 2θ from 10° to 80°:
- 2θ 14.83, d 5.975, I 35
- 2θ 15.50, d 5.717, I 28
- 2θ 15.93, d 5.562, I 54
- 2θ 16.87, d 5.255, I 35
- 2θ 24.76, d 3.596, I 44
- 2θ 26.44, d 3.371, I 100
- 2θ 27.74, d 3.216, I 27
- 2θ 30.45, d 2.936, I 38
- 2θ 31.84, d 2.810, I 22
- 2θ 32.06, d 2.792, I 31

Structure:
Cell: 11.3919 7.2395 11.2451 Å, 90.00 110.85 90.00°
Space group P2_1/c (No. 14)
Symmetry-distinct sites (fractional):
1 Na 0.1286 0.1436 0.4625 [4 per cell]
2 Pr 0.2514 0.6149 0.6661 [4 per cell]
3 Se 0.0526 0.6532 0.3598 [4 per cell]
4 Se 0.3937 0.1277 0.7204 [4 per cell]
5 O 0.0719 0.6793 0.9683 [4 per cell]
6 O 0.1000 0.1063 0.2152 [4 per cell]
7 O 0.1102 0.7043 0.2470 [4 per cell]
8 O 0.1284 0.0260 0.9488 [4 per cell]
9 O 0.2964 0.0389 0.3816 [4 per cell]
10 O 0.3070 0.5609 0.1622 [4 per cell]
11 O 0.3091 0.2014 0.1316 [4 per cell]
12 O 0.3808 0.6976 0.5222 [4 per cell]
13 O 0.4144 0.1617 0.8770 [4 per cell]
14 O 0.4697 0.6087 0.8002 [4 per cell]


6.
Starting from a PBE-relaxed structure, the powder diffractogram of NaPrTi4O12 was calculated for Cu Kα.
Lines closer than 0.1° are merged.

Largest 10 diffraction maxima, low angle first, 2θ from 10° to 80°:
- 2θ 11.21, d 7.894, I 42
- 2θ 16.25, d 5.454, I 42
- 2θ 19.79, d 4.487, I 100
- 2θ 25.71, d 3.465, I 33
- 2θ 32.46, d 2.758, I 85
- 2θ 32.84, d 2.727, I 42
- 2θ 38.64, d 2.330, I 35
- 2θ 47.13, d 1.928, I 51
- 2θ 58.40, d 1.580, I 32
- 2θ 67.97, d 1.379, I 27

Structure:
Cell: 5.4537 5.4537 7.8942 Å, 90.00 90.00 90.00°
Space group P4/mmm (No. 123)
Symmetry-distinct sites (fractional):
1 Na 0.0000 0.0000 0.0000 [1 per cell]
2 Pr 0.5000 0.5000 0.5000 [1 per cell]
3 Ti 0.0000 0.5000 0.2373 [4 per cell]
4 O 0.0000 0.5000 0.0000 [2 per cell]
5 O 0.0000 0.5000 0.5000 [2 per cell]
6 O 0.2561 0.2561 0.2662 [8 per cell]